No. 1
Diffraction record for Nd2Ti4O11. The powder diffraction line list is computed, not measured: it uses a cell relaxed with PBE and λ = 1.5418 Å (Cu Kα).
Peak positions follow from Bragg's law for the DFT cell and can differ from measured ones.

Peak list (10 most intense, 2θ from 10° to 90°, in order of rising 2θ)
| h k l | 2θ (°) | I/Imax |
| --- | --- | --- |
| 1 1 -2 | 22.3 | 27 |
| 1 1 2 | 25.1 | 74 |
| 3 1 0 | 26.9 | 100 |
| 3 1 -2 | 27.3 | 36 |
| 0 0 4 | 29.5 | 20 |
| 1 1 -4 | 33.1 | 26 |
| 1 1 4 | 37.0 | 23 |
| 6 0 -2 | 39.4 | 20 |
| 3 1 -6 | 46.4 | 25 |
| 4 2 2 | 50.6 | 45 |

Crystal structure
Cell lengths 13.7461, 5.1259, 12.8288 Å; angles 90.00, 108.98, 90.00 degrees
Space group C2/c (No. 15)
Asymmetric unit:
1 Nd 0.1987 0.0067 0.0939 (multiplicity 8)
2 Ti 0.0298 0.4482 0.9027 (multiplicity 8)
3 Ti 0.1102 0.0580 0.3096 (multiplicity 8)
4 O 0.0000 0.3432 0.2500 (multiplicity 4)
5 O 0.0461 0.1456 0.6686 (multiplicity 8)
6 O 0.0672 0.3481 0.0557 (multiplicity 8)
7 O 0.1388 0.2783 0.4395 (multiplicity 8)
8 O 0.1581 0.2296 0.9035 (multiplicity 8)
9 O 0.2187 0.1673 0.2768 (multiplicity 8)

***

No. 2
Diffraction record for Nd4Zr3TiO14. The powder diffraction line list is computed, not measured: it uses a cell relaxed with PBE and λ = 1.5418 Å (Cu Kα).
Peak positions follow from Bragg's law for the DFT cell and can differ from measured ones.

Peak list (10 most intense, 2θ from 10° to 90°, in order of rising 2θ)
| h k l | 2θ (°) | I/Imax |
| --- | --- | --- |
| 1 0 1 | 14.3 | 8 |
| 2 0 2 | 28.9 | 100 |
| 0 2 4 | 33.5 | 31 |
| 1 0 7 | 36.6 | 8 |
| 2 0 8 | 48.1 | 49 |
| 2 2 6 | 57.1 | 43 |
| 4 0 4 | 59.9 | 10 |
| 4 2 2 | 77.8 | 17 |
| 2 4 4 | 80.3 | 14 |
| 0 2 16 | 89.8 | 14 |

Crystal structure
Cell lengths 7.5625, 7.5625, 18.5378 Å; angles 90.00, 90.00, 120.00 degrees
Space group R-3m (No. 166, hexagonal axes)
Asymmetric unit:
1 Nd 0.0000 0.0000 0.0000 (multiplicity 3)
2 Nd 0.0000 0.5000 0.5000 (multiplicity 9)
3 Zr 0.0000 0.5000 0.0000 (multiplicity 9)
4 Ti 0.0000 0.0000 0.5000 (multiplicity 3)
5 O 0.0000 0.0000 0.1258 (multiplicity 6)
6 O 0.0515 0.5257 0.3648 (multiplicity 18)
7 O 0.0708 0.5354 0.1115 (multiplicity 18)

***

No. 3
Diffraction record for Nd2Tl2O7. The powder diffraction line list is computed, not measured: it uses a cell relaxed with PBE and λ = 1.5418 Å (Cu Kα).
Peak positions follow from Bragg's law for the DFT cell and can differ from measured ones.

Peak list (10 most intense, 2θ from 10° to 90°, in order of rising 2θ)
| h k l | 2θ (°) | I/Imax |
| --- | --- | --- |
| 0 2 1 | 27.2 | 95 |
| 2 0 1 | 28.5 | 100 |
| 2 2 0 | 31.3 | 48 |
| 0 0 2 | 34.2 | 23 |
| 0 4 0 | 43.1 | 19 |
| 4 0 0 | 46.4 | 16 |
| 2 2 2 | 47.0 | 57 |
| 2 4 1 | 52.5 | 33 |
| 4 2 1 | 54.7 | 28 |
| 4 2 3 | 76.6 | 15 |

Crystal structure
Cell lengths 7.8241, 8.3957, 5.2383 Å; angles 90.00, 90.00, 90.00 degrees
Space group Cmmm (No. 65)
Asymmetric unit:
1 Nd 0.2393 0.0000 0.0000 (multiplicity 4)
2 Tl 0.0000 0.2311 0.5000 (multiplicity 4)
3 O 0.0000 0.0000 0.2511 (multiplicity 4)
4 O 0.0000 0.5000 0.5000 (multiplicity 2)
5 O 0.2500 0.2500 0.2365 (multiplicity 8)

***

Number 2 is which compound? Nd4Zr3TiO14